This entry pairs a crystal structure of Dy5Rh4Au with its computed powder X-ray diffraction pattern. Radiation: Cu Kα, 1.54184 Å. Structure: a PBE-relaxed structure.
Peak positions follow from Bragg's law for the DFT cell and can differ from measured ones.

abc: 3.4400 3.4400 17.5443
angles: 90.00 90.00 90.00
Space group P4/mmm (No. 123)
Symmetry-distinct sites (fractional):
Dy1 0.0000 0.0000 0.0000
Dy2 0.0000 0.0000 0.1952
Dy3 0.0000 0.0000 0.3893
Rh1 0.5000 0.5000 0.0977
Rh2 0.5000 0.5000 0.2940
Au1 0.5000 0.5000 0.5000

Most intense lines, 5° ≤ 2θ ≤ 70°, in order of falling intensity:
h k l	2theta	I (rel.)
1 0 5	36.58	100
1 1 0	36.96	50
2 1 5	66.35	35
2 0 0	53.26	18
1 1 10	65.61	16
0 0 10	52.13	8
1 0 4	33.10	3
0 0 1	5.04	3
1 0 0	25.90	2
1 0 3	30.14	2